(1)
Structure and calculated powder XRD pattern of SrGaAgO3 (the GGA-PBE geometry in Alexandria; CuKα).

Principal peaks in the range 15° ≤ 2θ ≤ 90°, low angle first:
30.11 deg, I = 71; 30.58 deg, I = 100; 31.35 deg, I = 28; 33.53 deg, I = 47; 34.46 deg, I = 38; 52.71 deg, I = 30

Structural model:
```
SrGaAgO3
1.0
4.905 -3.249 0.000
4.905 3.249 0.000
-3.118 0.000 5.967
Sr Ga Ag O
2 2 2 6
Cartesian
1.528 0.000 0.863 Sr
5.165 0.000 5.104 Sr
1.895 0.000 4.500 Ga
4.798 0.000 1.467 Ga
3.347 1.875 2.983 Ag
3.347 -1.875 2.983 Ag
3.790 1.443 0.866 O
0.605 0.000 3.281 O
2.903 1.443 5.101 O
3.790 -1.443 0.866 O
6.088 0.000 2.686 O
2.903 -1.443 5.101 O
```



(2)
Structure and calculated powder XRD pattern of Ga2AgTeO8 (the GGA-PBE geometry in Alexandria; CuKα).

Principal peaks in the range 15° ≤ 2θ ≤ 90°, low angle first:
18.95 deg, I = 15; 26.32 deg, I = 74; 27.51 deg, I = 67; 34.59 deg, I = 100; 51.99 deg, I = 46; 53.34 deg, I = 44

Structural model:
```
Ga2AgTeO8
1.0
4.682 0.000 0.000
0.000 6.227 0.000
-0.203 0.000 4.691
Ga Ag Te O
2 1 1 8
Cartesian
0.000 1.553 0.000 Ga
0.000 4.673 0.000 Ga
2.239 0.000 2.345 Ag
2.239 3.113 2.345 Te
0.813 0.000 0.827 O
0.879 3.113 0.906 O
1.289 1.676 3.242 O
1.289 4.550 3.242 O
3.190 1.676 1.449 O
3.190 4.550 1.449 O
3.600 3.113 3.785 O
3.666 0.000 3.864 O
```



(3)
Structure and calculated powder XRD pattern of GaAg2TeO6 (the GGA-PBE geometry in Alexandria; CuKα).

Principal peaks in the range 15° ≤ 2θ ≤ 90°, low angle first:
31.91 deg, I = 26; 32.52 deg, I = 21; 32.69 deg, I = 100; 46.21 deg, I = 28; 47.60 deg, I = 12; 57.36 deg, I = 20

Structural model:
```
GaAg2TeO6
1.0
4.703 -2.805 0.000
4.703 2.805 0.000
-3.210 0.000 4.473
Ga Ag Te O
1 2 1 6
Cartesian
0.000 0.000 0.000 Ga
-0.141 0.000 3.429 Ag
6.336 0.000 1.044 Ag
3.097 0.000 2.237 Te
3.528 1.383 0.886 O
1.233 0.000 1.602 O
2.667 1.383 3.587 O
3.528 -1.383 0.886 O
4.962 0.000 2.871 O
2.667 -1.383 3.587 O
```